Structure and computed powder diffraction line list of Be22W (a PBE-relaxed structure; Cu Kα (weighted mean of Kα1 and Kα2)).

Structure:
```
data_Be22W
_chemical_formula_sum 'Be44 W2'
_cell_length_a 8.1789
_cell_length_b 8.1789
_cell_length_c 8.1789
_cell_angle_alpha 60.00
_cell_angle_beta 60.00
_cell_angle_gamma 60.00
_symmetry_space_group_name_H-M 'P 1'
_symmetry_Int_Tables_number 1
loop_
_symmetry_equiv_pos_as_xyz
'x,y,z'
loop_
_atom_site_label
_atom_site_type_symbol
_atom_site_fract_x
_atom_site_fract_y
_atom_site_fract_z
Be1 Be 0.0000 0.0000 0.0000
Be2 Be 0.0000 0.0000 0.5000
Be3 Be 0.0000 0.5000 0.0000
Be4 Be 0.0000 0.5000 0.5000
Be5 Be 0.0099 0.0099 0.7401
Be6 Be 0.0099 0.7401 0.0099
Be7 Be 0.0099 0.7401 0.7401
Be8 Be 0.1762 0.1762 0.4435
Be9 Be 0.1762 0.1762 0.7042
Be10 Be 0.1762 0.4435 0.1762
Be11 Be 0.1762 0.4435 0.7042
Be12 Be 0.1762 0.7042 0.1762
Be13 Be 0.1762 0.7042 0.4435
Be14 Be 0.2599 0.2599 0.9901
Be15 Be 0.2599 0.9901 0.2599
Be16 Be 0.2599 0.9901 0.9901
Be17 Be 0.2958 0.5565 0.8238
Be18 Be 0.2958 0.8238 0.5565
Be19 Be 0.2958 0.8238 0.8238
Be20 Be 0.4435 0.1762 0.1762
Be21 Be 0.4435 0.1762 0.7042
Be22 Be 0.4435 0.7042 0.1762
Be23 Be 0.5000 0.0000 0.0000
Be24 Be 0.5000 0.0000 0.5000
Be25 Be 0.5000 0.5000 0.0000
Be26 Be 0.5000 0.5000 0.5000
Be27 Be 0.5565 0.2958 0.8238
Be28 Be 0.5565 0.8238 0.2958
Be29 Be 0.5565 0.8238 0.8238
Be30 Be 0.7042 0.1762 0.1762
Be31 Be 0.7042 0.1762 0.4435
Be32 Be 0.7042 0.4435 0.1762
Be33 Be 0.7401 0.0099 0.0099
Be34 Be 0.7401 0.0099 0.7401
Be35 Be 0.7401 0.7401 0.0099
Be36 Be 0.8238 0.2958 0.5565
Be37 Be 0.8238 0.2958 0.8238
Be38 Be 0.8238 0.5565 0.2958
Be39 Be 0.8238 0.5565 0.8238
Be40 Be 0.8238 0.8238 0.2958
Be41 Be 0.8238 0.8238 0.5565
Be42 Be 0.9901 0.2599 0.2599
Be43 Be 0.9901 0.2599 0.9901
Be44 Be 0.9901 0.9901 0.2599
W1 W 0.3750 0.3750 0.3750
W2 W 0.6250 0.6250 0.6250
```

Main lines, by angle (2θ from 15° to 90°):
d = 4.089 Å, I = 100; d = 3.488 Å, I = 71; d = 2.892 Å, I = 21; d = 2.654 Å, I = 32; d = 2.361 Å, I = 47; d = 2.226 Å, I = 25; d = 2.045 Å, I = 19; d = 1.955 Å, I = 42; d = 1.829 Å, I = 31; d = 1.546 Å, I = 24



Structure and computed powder diffraction line list of ErTmFe8B2 (a PBE-relaxed structure; Cu Kα (weighted mean of Kα1 and Kα2)).

Structure:
```
data_ErTmFe8B2
_chemical_formula_sum 'Er1 Tm1 Fe8 B2'
_cell_length_a 5.0298
_cell_length_b 5.0298
_cell_length_c 7.0078
_cell_angle_alpha 90.00
_cell_angle_beta 90.00
_cell_angle_gamma 120.00
_symmetry_space_group_name_H-M 'P 1'
_symmetry_Int_Tables_number 1
loop_
_symmetry_equiv_pos_as_xyz
'x,y,z'
loop_
_atom_site_label
_atom_site_type_symbol
_atom_site_fract_x
_atom_site_fract_y
_atom_site_fract_z
Er1 Er 0.0000 0.0000 0.0000
Tm1 Tm 0.0000 0.0000 0.5000
Fe1 Fe 0.0000 0.5000 0.2861
Fe2 Fe 0.0000 0.5000 0.7139
Fe3 Fe 0.3333 0.6667 0.0000
Fe4 Fe 0.5000 0.0000 0.2861
Fe5 Fe 0.5000 0.0000 0.7139
Fe6 Fe 0.5000 0.5000 0.2861
Fe7 Fe 0.5000 0.5000 0.7139
Fe8 Fe 0.6667 0.3333 0.0000
B1 B 0.3333 0.6667 0.5000
B2 B 0.6667 0.3333 0.5000
```

Main lines, by angle (2θ from 15° to 90°):
d = 4.356 Å, I = 23; d = 2.730 Å, I = 98; d = 2.515 Å, I = 35; d = 2.178 Å, I = 72; d = 2.043 Å, I = 100; d = 1.490 Å, I = 31; d = 1.438 Å, I = 15; d = 1.365 Å, I = 19; d = 1.341 Å, I = 24; d = 1.257 Å, I = 19



Structure and computed powder diffraction line list of HoAlPtAu (a PBE-relaxed structure; Cu Kα (weighted mean of Kα1 and Kα2)).

Structure:
```
data_HoAlPtAu
_chemical_formula_sum 'Ho2 Al2 Pt2 Au2'
_cell_length_a 4.4162
_cell_length_b 4.4162
_cell_length_c 9.1814
_cell_angle_alpha 90.00
_cell_angle_beta 90.00
_cell_angle_gamma 120.00
_symmetry_space_group_name_H-M 'P 1'
_symmetry_Int_Tables_number 1
loop_
_symmetry_equiv_pos_as_xyz
'x,y,z'
loop_
_atom_site_label
_atom_site_type_symbol
_atom_site_fract_x
_atom_site_fract_y
_atom_site_fract_z
Ho1 Ho 0.3333 0.6667 0.2609
Ho2 Ho 0.6667 0.3333 0.7391
Al1 Al 0.0000 0.0000 0.0000
Al2 Al 0.0000 0.0000 0.5000
Pt1 Pt 0.3333 0.6667 0.5817
Pt2 Pt 0.6667 0.3333 0.4183
Au1 Au 0.3333 0.6667 0.9137
Au2 Au 0.6667 0.3333 0.0863
```

Main lines, by angle (2θ from 15° to 90°):
d = 3.825 Å, I = 46; d = 2.390 Å, I = 100; d = 2.208 Å, I = 59; d = 1.912 Å, I = 7; d = 1.622 Å, I = 31; d = 1.421 Å, I = 8; d = 1.307 Å, I = 30; d = 1.275 Å, I = 10; d = 1.258 Å, I = 16; d = 1.104 Å, I = 7



Structure and computed powder diffraction line list of Pr6Fe13Ag (a PBE-relaxed structure; Cu Kα (weighted mean of Kα1 and Kα2)).

Structure:
```
data_Pr6Fe13Ag
_chemical_formula_sum 'Pr12 Fe26 Ag2'
_cell_length_a 12.9035
_cell_length_b 12.9035
_cell_length_c 12.9035
_cell_angle_alpha 143.77
_cell_angle_beta 143.77
_cell_angle_gamma 52.16
_symmetry_space_group_name_H-M 'P 1'
_symmetry_Int_Tables_number 1
loop_
_symmetry_equiv_pos_as_xyz
'x,y,z'
loop_
_atom_site_label
_atom_site_type_symbol
_atom_site_fract_x
_atom_site_fract_y
_atom_site_fract_z
Pr1 Pr 0.0236 0.5236 0.1753
Pr2 Pr 0.1066 0.1066 0.0000
Pr3 Pr 0.1517 0.9764 0.5000
Pr4 Pr 0.3483 0.8483 0.8247
Pr5 Pr 0.3934 0.3934 0.0000
Pr6 Pr 0.4764 0.6517 0.5000
Pr7 Pr 0.5236 0.3483 0.5000
Pr8 Pr 0.6066 0.6066 0.0000
Pr9 Pr 0.6517 0.1517 0.1753
Pr10 Pr 0.8483 0.0236 0.5000
Pr11 Pr 0.8934 0.8934 0.0000
Pr12 Pr 0.9764 0.4764 0.8247
Fe1 Fe 0.0000 0.5000 0.5000
Fe2 Fe 0.0192 0.2918 0.5000
Fe3 Fe 0.0666 0.2100 0.2766
Fe4 Fe 0.1200 0.6200 0.8578
Fe5 Fe 0.2082 0.4808 0.5000
Fe6 Fe 0.2100 0.9334 0.1434
Fe7 Fe 0.2378 0.7378 0.8578
Fe8 Fe 0.2622 0.1200 0.5000
Fe9 Fe 0.2900 0.4334 0.7234
Fe10 Fe 0.2918 0.7918 0.2726
Fe11 Fe 0.3800 0.2378 0.5000
Fe12 Fe 0.4334 0.7100 0.1434
Fe13 Fe 0.4808 0.9808 0.2726
Fe14 Fe 0.5000 0.0000 0.5000
Fe15 Fe 0.5192 0.0192 0.7274
Fe16 Fe 0.5666 0.2900 0.8566
Fe17 Fe 0.6200 0.7622 0.5000
Fe18 Fe 0.7082 0.2082 0.7274
Fe19 Fe 0.7100 0.5666 0.2766
Fe20 Fe 0.7378 0.8800 0.5000
Fe21 Fe 0.7622 0.2622 0.1422
Fe22 Fe 0.7900 0.0666 0.8566
Fe23 Fe 0.7918 0.5192 0.5000
Fe24 Fe 0.8800 0.3800 0.1422
Fe25 Fe 0.9334 0.7900 0.7234
Fe26 Fe 0.9808 0.7082 0.5000
Ag1 Ag 0.2500 0.2500 0.0000
Ag2 Ag 0.7500 0.7500 0.0000
```

Main lines, by angle (2θ from 15° to 90°):
d = 3.254 Å, I = 71; d = 2.837 Å, I = 100; d = 2.783 Å, I = 28; d = 2.580 Å, I = 33; d = 2.537 Å, I = 83; d = 2.349 Å, I = 59; d = 2.092 Å, I = 42; d = 1.939 Å, I = 36; d = 1.794 Å, I = 38; d = 1.584 Å, I = 30



Structure and computed powder diffraction line list of TbY2Sn6Pb (a PBE-relaxed structure; Cu Kα (weighted mean of Kα1 and Kα2)).

Structure:
```
data_TbY2Sn6Pb
_chemical_formula_sum 'Tb1 Y2 Sn6 Pb1'
_cell_length_a 13.4870
_cell_length_b 13.4870
_cell_length_c 4.4896
_cell_angle_alpha 90.00
_cell_angle_beta 90.00
_cell_angle_gamma 161.12
_symmetry_space_group_name_H-M 'P 1'
_symmetry_Int_Tables_number 1
loop_
_symmetry_equiv_pos_as_xyz
'x,y,z'
loop_
_atom_site_label
_atom_site_type_symbol
_atom_site_fract_x
_atom_site_fract_y
_atom_site_fract_z
Tb1 Tb 0.0000 0.0000 0.0000
Y1 Y 0.3112 0.6888 0.5000
Y2 Y 0.6888 0.3112 0.5000
Sn1 Sn 0.0968 0.9032 0.5000
Sn2 Sn 0.2116 0.7884 0.0000
Sn3 Sn 0.4028 0.5972 0.0000
Sn4 Sn 0.5972 0.4028 0.0000
Sn5 Sn 0.7884 0.2116 0.0000
Sn6 Sn 0.9032 0.0968 0.5000
Pb1 Pb 0.5000 0.5000 0.5000
```

Main lines, by angle (2θ from 15° to 90°):
d = 2.711 Å, I = 100; d = 2.661 Å, I = 21; d = 2.245 Å, I = 15; d = 2.212 Å, I = 15; d = 1.716 Å, I = 12; d = 1.701 Å, I = 11; d = 1.576 Å, I = 11; d = 1.546 Å, I = 13; d = 1.370 Å, I = 13; d = 1.355 Å, I = 23



Structure and computed powder diffraction line list of DyAgSO (a PBE-relaxed structure; Cu Kα (weighted mean of Kα1 and Kα2)).

Structure:
```
data_DyAgSO
_chemical_formula_sum 'Dy4 Ag4 S4 O4'
_cell_length_a 5.6498
_cell_length_b 5.6488
_cell_length_c 10.8176
_cell_angle_alpha 90.00
_cell_angle_beta 91.76
_cell_angle_gamma 90.00
_symmetry_space_group_name_H-M 'P 1'
_symmetry_Int_Tables_number 1
loop_
_symmetry_equiv_pos_as_xyz
'x,y,z'
loop_
_atom_site_label
_atom_site_type_symbol
_atom_site_fract_x
_atom_site_fract_y
_atom_site_fract_z
Dy1 Dy 0.0039 0.0000 0.0982
Dy2 Dy 0.4946 0.0012 0.9008
Dy3 Dy 0.5054 0.5012 0.0992
Dy4 Dy 0.9961 0.5000 0.9018
Ag1 Ag 0.1884 0.2733 0.4970
Ag2 Ag 0.4994 0.0187 0.2962
Ag3 Ag 0.5006 0.5187 0.7038
Ag4 Ag 0.8116 0.7733 0.5030
S1 S 0.2013 0.3100 0.2793
S2 S 0.2054 0.2274 0.7148
S3 S 0.7946 0.7274 0.2852
S4 S 0.7987 0.8100 0.7207
O1 O 0.2498 0.7497 0.0002
O2 O 0.2527 0.2490 0.9996
O3 O 0.7473 0.7490 0.0004
O4 O 0.7502 0.2497 0.9998
```

Main lines, by angle (2θ from 15° to 90°):
d = 3.994 Å, I = 35; d = 3.246 Å, I = 100; d = 3.179 Å, I = 90; d = 2.824 Å, I = 30; d = 2.733 Å, I = 45; d = 2.706 Å, I = 81; d = 2.647 Å, I = 65; d = 2.163 Å, I = 37; d = 1.997 Å, I = 62; d = 1.953 Å, I = 30



Structure and computed powder diffraction line list of Ta4Cu3Mo2N3 (a PBE-relaxed structure; Cu Kα (weighted mean of Kα1 and Kα2)).

Structure:
```
data_Ta4Cu3Mo2N3
_chemical_formula_sum 'Ta8 Cu6 Mo4 N6'
_cell_length_a 5.2365
_cell_length_b 5.2365
_cell_length_c 13.7512
_cell_angle_alpha 101.33
_cell_angle_beta 101.33
_cell_angle_gamma 59.25
_symmetry_space_group_name_H-M 'P 1'
_symmetry_Int_Tables_number 1
loop_
_symmetry_equiv_pos_as_xyz
'x,y,z'
loop_
_atom_site_label
_atom_site_type_symbol
_atom_site_fract_x
_atom_site_fract_y
_atom_site_fract_z
Ta1 Ta 0.0206 0.2012 0.0856
Ta2 Ta 0.1391 0.3066 0.4137
Ta3 Ta 0.2012 0.0206 0.5856
Ta4 Ta 0.3066 0.1391 0.9137
Ta5 Ta 0.6934 0.8609 0.0863
Ta6 Ta 0.7988 0.9794 0.4144
Ta7 Ta 0.8609 0.6934 0.5863
Ta8 Ta 0.9794 0.7988 0.9144
Cu1 Cu 0.0687 0.9313 0.7500
Cu2 Cu 0.1126 0.4116 0.7493
Cu3 Cu 0.4116 0.1126 0.2493
Cu4 Cu 0.5884 0.8874 0.7507
Cu5 Cu 0.8874 0.5884 0.2507
Cu6 Cu 0.9313 0.0687 0.2500
Mo1 Mo 0.3839 0.5415 0.1199
Mo2 Mo 0.4585 0.6161 0.3801
Mo3 Mo 0.5415 0.3839 0.6199
Mo4 Mo 0.6161 0.4585 0.8801
N1 N 0.0000 0.5000 0.0000
N2 N 0.2028 0.6471 0.4997
N3 N 0.3529 0.7972 0.0003
N4 N 0.5000 0.0000 0.5000
N5 N 0.6471 0.2028 0.9997
N6 N 0.7972 0.3529 0.5003
```

Main lines, by angle (2θ from 15° to 90°):
d = 3.349 Å, I = 24; d = 2.618 Å, I = 38; d = 2.569 Å, I = 50; d = 2.542 Å, I = 30; d = 2.263 Å, I = 100; d = 2.254 Å, I = 93; d = 2.239 Å, I = 98; d = 2.233 Å, I = 58; d = 2.096 Å, I = 27; d = 1.500 Å, I = 30



Structure and computed powder diffraction line list of Sm2PbS3 (a PBE-relaxed structure; Cu Kα (weighted mean of Kα1 and Kα2)).

Structure:
```
data_Sm2PbS3
_chemical_formula_sum 'Sm2 Pb1 S3'
_cell_length_a 4.0562
_cell_length_b 4.0562
_cell_length_c 10.2171
_cell_angle_alpha 90.00
_cell_angle_beta 90.00
_cell_angle_gamma 120.00
_symmetry_space_group_name_H-M 'P 1'
_symmetry_Int_Tables_number 1
loop_
_symmetry_equiv_pos_as_xyz
'x,y,z'
loop_
_atom_site_label
_atom_site_type_symbol
_atom_site_fract_x
_atom_site_fract_y
_atom_site_fract_z
Sm1 Sm 0.3333 0.6667 0.1476
Sm2 Sm 0.6667 0.3333 0.8524
Pb1 Pb 0.0000 0.0000 0.5000
S1 S 0.0000 0.0000 0.0000
S2 S 0.3333 0.6667 0.6805
S3 S 0.6667 0.3333 0.3195
```

Main lines, by angle (2θ from 15° to 90°):
d = 3.406 Å, I = 21; d = 3.322 Å, I = 67; d = 2.895 Å, I = 100; d = 2.066 Å, I = 38; d = 2.028 Å, I = 37; d = 1.743 Å, I = 20; d = 1.661 Å, I = 19; d = 1.304 Å, I = 13; d = 1.285 Å, I = 16; d = 1.178 Å, I = 13